Computed powder diffraction line list
Compound: Pr5Ge3C
Radiation: Cu Kα (weighted mean of Kα1 and Kα2)
Structure: a structure optimized by DFT (GGA-PBE)

Main lines, in order of rising 2θ (10° ≤ 2θ ≤ 90°):
hkl	d (Å)	intensity
1 0 2	3.134	321
2 1 0	2.919	403
1 1 2	2.718	679
2 1 1	2.686	1000
2 1 3	1.800	305
5 0 2	1.408	199

Structure:
Unit cell a=8.9175 b=8.9175 c=6.8576 alpha=90.00 beta=90.00 gamma=120.00
Sites, in units of the cell vectors:
Pr1 0.0000 0.2223 0.2500
Pr2 0.0000 0.7777 0.7500
Pr3 0.2223 0.0000 0.2500
Pr4 0.2223 0.2223 0.7500
Pr5 0.3333 0.6667 0.0000
Pr6 0.3333 0.6667 0.5000
Pr7 0.6667 0.3333 0.0000
Pr8 0.6667 0.3333 0.5000
Pr9 0.7777 0.0000 0.7500
Pr10 0.7777 0.7777 0.2500
Ge1 0.0000 0.4097 0.7500
Ge2 0.0000 0.5903 0.2500
Ge3 0.4097 0.0000 0.7500
Ge4 0.4097 0.4097 0.2500
Ge5 0.5903 0.0000 0.2500
Ge6 0.5903 0.5903 0.7500
C1 0.0000 0.0000 0.0000
C2 0.0000 0.0000 0.5000